Starting from the GGA-PBE geometry in Alexandria, the X-ray diffraction stick pattern of Li2AcIn2Hg was calculated for Cu Ka.
Peak positions follow from Bragg's law for the DFT cell and can differ from measured ones.

Main lines, in order of rising 2θ (5° ≤ 2θ ≤ 70°):
2θ 18.05, intensity 168
2θ 25.64, intensity 942
2θ 33.08, intensity 1000
2θ 36.57, intensity 402
2θ 50.13, intensity 624
2θ 59.48, intensity 184

Structural model:
```
data_Li2AcIn2Hg
_space_group_name_H-M_alt 'P 1'
_space_group_IT_number 1
_space_group_name_Hall 'P 1'
_cell_length_a 4.914
_cell_length_b 4.914
_cell_length_c 6.491
_cell_angle_alpha 90.00
_cell_angle_beta 90.00
_cell_angle_gamma 90.00
loop_
_atom_site_label
_atom_site_fract_x
_atom_site_fract_y
_atom_site_fract_z
Li1 0.000 0.500 0.000
Li2 0.500 0.000 0.000
Ac1 0.000 0.000 0.500
In1 0.500 0.500 0.268
In2 0.500 0.500 0.732
Hg1 0.000 0.000 0.000
```